Entry 1:
Structure and computed XRD peak list of LiB8C8 (the GGA-PBE geometry in Alexandria; Cu Kα).

Structure:
```
data_LiB8C8
_cell_length_a 13.290
_cell_length_b 5.342
_cell_length_c 4.550
_cell_angle_alpha 90.00
_cell_angle_beta 101.17
_cell_angle_gamma 90.00
_symmetry_space_group_name_H-M 'C 1 2/m 1'
_symmetry_Int_Tables_number 12
loop_
_symmetry_equiv_pos_as_xyz
'x,y,z'
'-x,-y,-z'
'-x,y,-z'
'x,-y,z'
'x+1/2,y+1/2,z'
'-x+1/2,-y+1/2,-z'
'-x+1/2,y+1/2,-z'
'x+1/2,-y+1/2,z'
loop_
_atom_site_label
_atom_site_fract_x
_atom_site_fract_y
_atom_site_fract_z
Li1 0.000 0.000 0.000
B1 0.141 0.500 0.739
B2 0.144 0.000 0.739
B3 0.163 0.252 0.237
C1 0.132 0.249 0.898
C2 0.190 0.000 0.438
C3 0.190 0.500 0.441
```

Principal peaks in the range 10° ≤ 2θ ≤ 90°, low angle first:
- 2θ 13.6, I 100, (2 0 0)
- 2θ 26.3, I 13, (2 0 1)
- 2θ 27.4, I 34, (4 0 0)
- 2θ 30.7, I 11, (4 0 -1)
- 2θ 39.3, I 15, (0 2 1)
- 2θ 41.6, I 10, (6 0 0)
- 2θ 43.1, I 8, (2 2 1)
- 2θ 46.1, I 6, (4 2 -1)
- 2θ 71.6, I 6, (2 2 -3)
- 2θ 77.2, I 5, (2 2 3)

=====

Entry 2:
Structure and computed XRD peak list of K2TlBr3 (the GGA-PBE geometry in Alexandria; Cu Kα).

Structure:
```
data_K2TlBr3
_cell_length_a 8.0284
_cell_length_b 8.0284
_cell_length_c 24.3858
_cell_angle_alpha 90.00
_cell_angle_beta 90.00
_cell_angle_gamma 120.00
_symmetry_space_group_name_H-M 'R -3 c'
_symmetry_Int_Tables_number 167
_symmetry_space_group_name_Hall '-R 3 2"c'
loop_
_atom_site_label
_atom_site_fract_x
_atom_site_fract_y
_atom_site_fract_z
K1 0.0000 0.0000 0.1651
Tl1 0.0000 0.0000 0.0000
Br1 0.0000 0.3296 0.2500
```

Principal peaks in the range 10° ≤ 2θ ≤ 90°, low angle first:
- 2θ 14.7, I 43, (0 1 2)
- 2θ 19.4, I 24, (1 0 4)
- 2θ 22.1, I 18, (1 1 0)
- 2θ 24.7, I 52, (1 1 3)
- 2θ 31.3, I 100, (1 1 6)
- 2θ 38.9, I 47, (3 0 0)
- 2θ 40.2, I 14, (1 1 9)
- 2θ 50.7, I 25, (2 2 6)
- 2θ 60.6, I 25, (3 0 12)
- 2θ 65.7, I 23, (4 1 6)

=====

Entry 3:
Structure and computed XRD peak list of Zr3Fe20B6 (the GGA-PBE geometry in Alexandria; Cu Kα).

Structure:
```
data_Zr3Fe20B6
_cell_length_a 10.819
_cell_length_b 10.819
_cell_length_c 10.819
_cell_angle_alpha 90.00
_cell_angle_beta 90.00
_cell_angle_gamma 90.00
_symmetry_space_group_name_H-M 'F m -3 m'
_symmetry_Int_Tables_number 225
_symmetry_space_group_name_Hall '-F 4 2 3'
loop_
_atom_site_label
_atom_site_fract_x
_atom_site_fract_y
_atom_site_fract_z
Zr1 0.000 0.000 0.000
Zr2 0.250 0.250 0.250
Fe1 0.000 0.175 0.175
Fe2 0.113 0.113 0.387
B1 0.000 0.000 0.269
```

Principal peaks in the range 10° ≤ 2θ ≤ 90°, low angle first:
- 2θ 37.2, I 30, (4 2 0)
- 2θ 40.9, I 40, (4 2 2)
- 2θ 43.5, I 100, (3 3 3)
- 2θ 47.5, I 28, (4 4 0)
- 2θ 49.9, I 19, (5 3 1)
- 2θ 56.4, I 8, (6 2 2)
- 2θ 72.0, I 8, (6 4 4)
- 2θ 74.4, I 29, (6 6 0)
- 2θ 76.2, I 12, (5 5 5)
- 2θ 88.6, I 14, (8 4 4)

=====

Entry 4:
Structure and computed XRD peak list of KTlGaF6 (the GGA-PBE geometry in Alexandria; Cu Kα).

Structure:
```
data_KTlGaF6
_cell_length_a 5.9177
_cell_length_b 5.9177
_cell_length_c 5.3809
_cell_angle_alpha 90.00
_cell_angle_beta 90.00
_cell_angle_gamma 120.00
_symmetry_space_group_name_H-M 'P 3 1 2'
_symmetry_Int_Tables_number 149
loop_
_symmetry_equiv_pos_as_xyz
'x,y,z'
'-y,x-y,z'
'-x+y,-x,z'
'-y,-x,-z'
'-x+y,y,-z'
'x,x-y,-z'
loop_
_atom_site_label
_atom_site_fract_x
_atom_site_fract_y
_atom_site_fract_z
K1 0.0000 0.0000 0.0000
Tl1 0.3333 0.6667 0.5000
Ga1 0.6667 0.3333 0.5000
F1 0.4017 0.0597 0.7047
```

Principal peaks in the range 10° ≤ 2θ ≤ 90°, low angle first:
- 2θ 16.5, I 64, (0 0 1)
- 2θ 17.3, I 46, (1 0 0)
- 2θ 24.0, I 100, (1 0 1)
- 2θ 30.2, I 45, (1 1 0)
- 2θ 34.6, I 49, (2 -1 1)
- 2θ 37.8, I 17, (1 0 2)
- 2θ 38.9, I 27, (2 0 1)
- 2θ 45.6, I 52, (2 -1 2)
- 2θ 50.0, I 29, (3 -1 1)
- 2θ 53.7, I 18, (3 0 0)